For Ba3Mn, a DFT-relaxed cell (PBE, Alexandria) gives the theoretical powder diffractogram in this record (a wavelength of 1.5418 Å).

Most intense lines, 2θ from 15° to 90°, low angle first:
d/Å  I (rel.)
4.106  15.1
3.697  39.9
3.366  12.3
3.261  34.6
3.172  100.0
2.284  14.5
1.871  15.8
1.864  33.0
1.798  12.2
1.525  11.9

Structure:
```
Ba3Mn
1.0
4.3112 0.0000 0.0000
0.0000 6.5213 0.0000
0.0000 0.0000 13.4657
Ba Mn
6 2
Direct
0.0000 0.0000 0.0000 Ba
0.0000 0.5000 0.1982 Ba
0.0000 0.5000 0.8018 Ba
0.5000 0.0000 0.3018 Ba
0.5000 0.0000 0.6982 Ba
0.5000 0.5000 0.5000 Ba
0.0000 0.0000 0.5000 Mn
0.5000 0.5000 0.0000 Mn
```

***

For K2AsPb2, a DFT-relaxed cell (PBE, Alexandria) gives the theoretical powder diffractogram in this record (a wavelength of 1.5418 Å).

Most intense lines, 2θ from 15° to 90°, low angle first:
d/Å  I (rel.)
5.844  70.7
3.490  33.5
2.997  100.0
2.922  27.7
2.468  25.4
2.274  25.6
2.240  21.6
1.885  22.8
1.701  19.1
1.407  14.0

Structure:
```
K2AsPb2
1.0
7.8048 0.0000 0.0000
0.0000 7.8048 0.0000
0.0000 0.0000 5.8437
K As Pb
4 2 4
Direct
0.1771 0.3229 0.0000 K
0.3229 0.8229 0.0000 K
0.6771 0.1771 0.0000 K
0.8229 0.6771 0.0000 K
0.0000 0.0000 0.5000 As
0.5000 0.5000 0.5000 As
0.1418 0.6418 0.5000 Pb
0.3582 0.1418 0.5000 Pb
0.6418 0.8582 0.5000 Pb
0.8582 0.3582 0.5000 Pb
```

***

For KBi4Pd9, a DFT-relaxed cell (PBE, Alexandria) gives the theoretical powder diffractogram in this record (a wavelength of 1.5418 Å).

Most intense lines, 2θ from 15° to 90°, low angle first:
d/Å  I (rel.)
4.604  29.4
3.947  22.7
2.766  53.3
2.684  41.0
2.297  99.4
2.234  62.3
2.228  52.3
2.205  100.0
2.171  49.1
1.480  24.8

Structure:
```
KBi4Pd9
1.0
-4.6044 4.6044 6.9181
4.6044 -4.6044 6.9181
4.6044 4.6044 -6.9181
K Bi Pd
2 8 18
Direct
0.2500 0.2500 0.0000 K
0.7500 0.7500 0.0000 K
0.0540 0.5540 0.8556 Bi
0.1983 0.0540 0.5000 Bi
0.3017 0.8017 0.8556 Bi
0.4460 0.3017 0.5000 Bi
0.5540 0.6983 0.5000 Bi
0.6983 0.1983 0.1444 Bi
0.8017 0.9460 0.5000 Bi
0.9460 0.4460 0.1444 Bi
0.0000 0.5000 0.5000 Pd
0.0628 0.7985 0.5000 Pd
0.0648 0.2045 0.2693 Pd
0.2015 0.7015 0.2643 Pd
0.2045 0.9352 0.1397 Pd
0.2955 0.4352 0.7307 Pd
0.2985 0.5628 0.5000 Pd
0.4352 0.7045 0.1397 Pd
0.4372 0.9372 0.7357 Pd
0.5000 0.0000 0.5000 Pd
0.5628 0.0628 0.2643 Pd
0.5648 0.2955 0.8603 Pd
0.7015 0.4372 0.5000 Pd
0.7045 0.5648 0.2693 Pd
0.7955 0.0648 0.8603 Pd
0.7985 0.2985 0.7357 Pd
0.9352 0.7955 0.7307 Pd
0.9372 0.2015 0.5000 Pd
```

***

For PmNd2SmHo5, a DFT-relaxed cell (PBE, Alexandria) gives the theoretical powder diffractogram in this record (a wavelength of 1.5418 Å).

Most intense lines, 2θ from 15° to 90°, low angle first:
d/Å  I (rel.)
3.115  47.8
3.074  50.9
2.904  100.0
2.750  13.2
2.434  11.0
2.383  15.8
2.092  19.5
1.952  23.2
1.740  22.0
1.648  18.5

Structure:
```
PmNd2SmHo5
1.0
-4.3475 4.3475 7.8029
4.3475 -4.3475 7.8029
4.3475 4.3475 -7.8029
Pm Nd Sm Ho
2 4 2 10
Direct
0.2500 0.2500 0.0000 Pm
0.7500 0.7500 0.0000 Pm
0.1176 0.6176 0.7352 Nd
0.3824 0.1176 0.5000 Nd
0.6176 0.8824 0.5000 Nd
0.8824 0.3824 0.2648 Nd
0.2500 0.7500 0.5000 Sm
0.7500 0.2500 0.5000 Sm
0.0000 0.0000 0.0000 Ho
0.0716 0.1523 0.5000 Ho
0.1523 0.6523 0.0808 Ho
0.3477 0.4284 0.5000 Ho
0.4284 0.9284 0.0808 Ho
0.5000 0.5000 0.0000 Ho
0.5716 0.0716 0.9192 Ho
0.6523 0.5716 0.5000 Ho
0.8477 0.3477 0.9192 Ho
0.9284 0.8477 0.5000 Ho
```

***

For DyErB12, a DFT-relaxed cell (PBE, Alexandria) gives the theoretical powder diffractogram in this record (a wavelength of 1.5418 Å).

Most intense lines, 2θ from 15° to 90°, low angle first:
d/Å  I (rel.)
4.090  70.6
2.892  100.0
2.362  42.0
2.045  21.3
1.829  50.3
1.670  28.8
1.363  27.7
1.293  19.8
1.233  13.2
1.093  18.7

Structure:
```
DyErB12
1.0
4.0896 0.0000 0.0000
0.0000 4.0896 0.0000
0.0000 0.0000 8.1840
Dy Er B
1 1 12
Direct
0.0000 0.0000 0.0000 Dy
0.0000 0.0000 0.5000 Er
0.1987 0.5000 0.2505 B
0.1987 0.5000 0.7495 B
0.5000 0.1987 0.2505 B
0.5000 0.1987 0.7495 B
0.5000 0.5000 0.0995 B
0.5000 0.5000 0.4009 B
0.5000 0.5000 0.5991 B
0.5000 0.5000 0.9005 B
0.5000 0.8013 0.2505 B
0.5000 0.8013 0.7495 B
0.8013 0.5000 0.2505 B
0.8013 0.5000 0.7495 B
```

***

For BP2, a DFT-relaxed cell (PBE, Alexandria) gives the theoretical powder diffractogram in this record (a wavelength of 1.5418 Å).

Most intense lines, 2θ from 15° to 90°, low angle first:
d/Å  I (rel.)
4.259  30.6
3.049  100.0
3.008  70.8
2.292  14.1
2.142  17.0
2.128  56.7
2.019  57.4
1.559  25.1
1.436  21.4
1.422  17.1

Structure:
```
BP2
1.0
9.1152 0.0000 0.0000
0.0000 3.2154 0.0000
-1.1639 0.0000 3.0524
B P
2 4
Direct
0.0000 0.0000 0.0000 B
0.5000 0.5000 0.0000 B
0.1186 0.0000 0.6204 P
0.2886 0.5000 0.9524 P
0.6186 0.5000 0.6204 P
0.7886 0.0000 0.9524 P
```

***

For Ac3NdSi6, a DFT-relaxed cell (PBE, Alexandria) gives the theoretical powder diffractogram in this record (a wavelength of 1.5418 Å).

Most intense lines, 2θ from 15° to 90°, low angle first:
d/Å  I (rel.)
5.158  47.0
3.949  30.2
3.804  30.4
3.315  78.0
3.070  39.5
2.861  100.0
2.638  63.9
2.579  71.6
1.999  33.8
1.816  47.6

Structure:
```
Ac3NdSi6
1.0
6.1391 3.5444 3.9318
-6.1391 3.5444 3.9318
0.0000 -7.0888 3.9318
Ac Nd Si
6 2 12
Direct
0.1887 0.7500 0.3113 Ac
0.2500 0.6887 0.8113 Ac
0.3113 0.1887 0.7500 Ac
0.6887 0.8113 0.2500 Ac
0.7500 0.3113 0.1887 Ac
0.8113 0.2500 0.6887 Ac
0.0000 0.0000 0.0000 Nd
0.5000 0.5000 0.5000 Nd
0.0169 0.0931 0.3940 Si
0.0931 0.3940 0.0169 Si
0.1060 0.4069 0.4831 Si
0.3940 0.0169 0.0931 Si
0.4069 0.4831 0.1060 Si
0.4831 0.1060 0.4069 Si
0.5169 0.8940 0.5931 Si
0.5931 0.5169 0.8940 Si
0.6060 0.9831 0.9069 Si
0.8940 0.5931 0.5169 Si
0.9069 0.6060 0.9831 Si
0.9831 0.9069 0.6060 Si
```

***

For Ac3AlCd2, a DFT-relaxed cell (PBE, Alexandria) gives the theoretical powder diffractogram in this record (a wavelength of 1.5418 Å).

Most intense lines, 2θ from 15° to 90°, low angle first:
d/Å  I (rel.)
4.038  22.7
2.855  100.0
2.331  7.5
2.019  18.7
1.806  10.8
1.651  9.7
1.648  29.6
1.429  6.0
1.426  6.1
1.277  16.8

Structure:
```
Ac3AlCd2
1.0
5.7056 0.0000 0.0000
-2.8528 4.9412 0.0000
0.0000 0.0000 14.0135
Ac Al Cd
6 2 4
Direct
0.0000 0.0000 0.2451 Ac
0.0000 0.0000 0.7549 Ac
0.3333 0.6667 0.4117 Ac
0.3333 0.6667 0.9165 Ac
0.6667 0.3333 0.0835 Ac
0.6667 0.3333 0.5883 Ac
0.3333 0.6667 0.1637 Al
0.6667 0.3333 0.8363 Al
0.0000 0.0000 0.0000 Cd
0.0000 0.0000 0.5000 Cd
0.3333 0.6667 0.6651 Cd
0.6667 0.3333 0.3349 Cd
```